Record 1
Na3CdPd4: simulated powder diffraction line list (λ = 1.5418 Å (Cu Kα)), based on a PBE-relaxed structure.
Neutral-atom scattering factors, no anomalous dispersion.

Principal peaks in the range 15 to 90 degrees two-theta, low angle first:
2θ/deg, I_rel
18.40, 22.2
22.21, 85.2
36.51, 84.1
36.66, 41.3
37.30, 100.0
37.90, 58.6
44.37, 21.9
45.32, 35.8
45.71, 61.1
60.52, 25.3

a b c (Å): 5.724 9.495 5.597
angles (deg): 90.00 90.00 90.00
Atoms (fractional coordinates):
Na 0.000 0.000 0.000
Na 0.000 0.264 0.789
Na 0.000 0.736 0.789
Na 0.500 0.236 0.289
Na 0.500 0.500 0.500
Na 0.500 0.764 0.289
Cd 0.000 0.500 0.431
Cd 0.500 0.000 0.931
Pd 0.000 0.229 0.300
Pd 0.000 0.771 0.300
Pd 0.245 0.000 0.507
Pd 0.255 0.500 0.007
Pd 0.500 0.271 0.800
Pd 0.500 0.729 0.800
Pd 0.745 0.500 0.007
Pd 0.755 0.000 0.507


Record 2
NaCd10Pd3: simulated powder diffraction line list (λ = 1.5418 Å (Cu Kα)), based on a PBE-relaxed structure.
Neutral-atom scattering factors, no anomalous dispersion.

Principal peaks in the range 15 to 90 degrees two-theta, low angle first:
2θ/deg, I_rel
18.24, 39.2
33.87, 100.0
36.97, 38.3
38.73, 56.4
39.30, 33.6
43.65, 29.7
56.80, 14.1
61.41, 17.0
66.62, 25.8
79.81, 15.9

a b c (Å): 9.726 9.726 9.726
angles (deg): 60.00 60.00 60.00
Atoms (fractional coordinates):
Na 0.250 0.250 0.250
Na 0.750 0.750 0.750
Cd 0.000 0.000 0.337
Cd 0.000 0.000 0.663
Cd 0.000 0.337 0.000
Cd 0.000 0.337 0.663
Cd 0.000 0.663 0.000
Cd 0.000 0.663 0.337
Cd 0.139 0.620 0.620
Cd 0.337 0.000 0.000
Cd 0.337 0.000 0.663
Cd 0.337 0.663 0.000
Cd 0.380 0.380 0.380
Cd 0.380 0.380 0.861
Cd 0.380 0.861 0.380
Cd 0.620 0.139 0.620
Cd 0.620 0.620 0.139
Cd 0.620 0.620 0.620
Cd 0.663 0.000 0.000
Cd 0.663 0.000 0.337
Cd 0.663 0.337 0.000
Cd 0.861 0.380 0.380
Pd 0.273 0.273 0.727
Pd 0.273 0.727 0.273
Pd 0.273 0.727 0.727
Pd 0.727 0.273 0.273
Pd 0.727 0.273 0.727
Pd 0.727 0.727 0.273